Computed X-ray diffraction stick pattern
Compound: Ac2MgTlIn
Radiation: Cu Ka
Structure: a cell relaxed with PBE

Most intense lines, 2θ from 10° to 80°, low angle first:
2θ/deg, d (Å), I (rel.), hkl
11.02, 8.029, 24, 0 0 1
11.31, 7.821, 23, 1 0 0
27.69, 3.221, 25, 1 1 -2
28.06, 3.180, 84, 2 1 -1
28.71, 3.110, 100, 0 1 2
28.83, 3.096, 37, 2 0 1
31.25, 2.863, 31, 2 1 -2
34.22, 2.620, 38, 2 1 1
36.55, 2.459, 41, 0 2 0
60.69, 1.526, 21, 0 1 5

Crystal structure
abc: 8.408 4.918 8.631
angles: 90.00 111.54 90.00
Element x y z (fractional)
Ac (0.107, 0.250, 0.369)
Ac (0.309, 0.250, 0.934)
Ac (0.691, 0.750, 0.066)
Ac (0.893, 0.750, 0.631)
Mg (0.450, 0.750, 0.354)
Mg (0.550, 0.250, 0.646)
Tl (0.117, 0.750, 0.078)
Tl (0.883, 0.250, 0.922)
In (0.343, 0.750, 0.660)
In (0.657, 0.250, 0.340)